Simulated X-ray diffraction stick pattern
Compound: Cs2NpClF6
Radiation: λ = 1.5418 Å (Cu Kα)
Structure: the GGA-PBE geometry in Alexandria
Lines closer than 0.1° are merged.

Atomic structure:
```
data_Cs2NpClF6
_symmetry_space_group_name_H-M 'P -3 m 1'
_symmetry_Int_Tables_number 164
_symmetry_space_group_name_Hall '-P 3 2"'
_cell_length_a 6.1543
_cell_length_b 6.1543
_cell_length_c 7.1784
_cell_angle_alpha 90.00
_cell_angle_beta 90.00
_cell_angle_gamma 120.00
loop_
_atom_site_label
_atom_site_fract_x
_atom_site_fract_y
_atom_site_fract_z
Cs1 0.3333 0.6667 0.1858
Np1 0.0000 0.0000 0.5000
Cl1 0.0000 0.0000 0.0000
F1 0.1691 0.3382 0.6459
```

The 10 most intense peaks (5 to 70 degrees two-theta), sorted by position:
| (hkl) | two_theta | I (rel.) |
| --- | --- | --- |
| 0 0 1 | 12.3 | 14.8 |
| 1 0 0 | 16.6 | 21.0 |
| 1 0 1 | 20.8 | 100.0 |
| 1 1 0 | 29.0 | 54.3 |
| 0 1 2 | 30.0 | 68.8 |
| 0 2 1 | 35.9 | 33.2 |
| 2 0 2 | 42.2 | 23.6 |
| 2 1 1 | 46.8 | 25.4 |
| 1 1 3 | 48.2 | 25.6 |
| 1 2 2 | 52.1 | 28.7 |